The following is a calculated powder diffraction line list of HoB2C2. It was derived from the PBE geometry in the Materials Project, using CuKα.
Intensities are scaled so that the largest is 100.

Atomic structure:
```
HoB2C2
1.0
5.3473 0.0000 0.0000
0.0000 5.3473 0.0000
0.0000 0.0000 3.5373
Ho B C
2 4 4
direct
0.0000 0.0000 0.0000
0.5000 0.5000 0.0000
0.1367 0.3633 0.5000
0.3633 0.8633 0.5000
0.6367 0.1367 0.5000
0.8633 0.6367 0.5000
0.1618 0.6619 0.5000
0.3382 0.1618 0.5000
0.6619 0.8382 0.5000
0.8382 0.3382 0.5000
```

Principal peaks in the range 2θ from 15° to 90°, in order of rising 2θ:
d = 3.781 Å, 23.5°, I 96, (1 1 0); d = 2.674 Å, 33.5°, I 40, (2 0 0); d = 2.583 Å, 34.7°, I 100, (1 1 1); d = 2.133 Å, 42.4°, I 56, (2 0 1); d = 1.691 Å, 54.2°, I 29, (3 1 0); d = 1.526 Å, 60.7°, I 28, (3 1 1)